This entry pairs a crystal structure of Li2VF6 with its simulated XRD peak list. Radiation: Cu Ka. Structure: the PBE+U geometry in the Materials Project.
Kinematic intensities with the Lorentz-polarization factor, no thermal factor.

Atomic structure:
a = 8.4084 Å, b = 8.4084 Å, c = 5.6142 Å
α = 90.00°, β = 90.00°, γ = 141.45°
Atoms (fractional coordinates):
Li (0.1349, 0.8651, 0.7500)
Li (0.1661, 0.8339, 0.2500)
Li (0.8339, 0.1661, 0.7500)
Li (0.8651, 0.1349, 0.2500)
V (0.3785, 0.6215, 0.7500)
V (0.6215, 0.3785, 0.2500)
F (0.1138, 0.3713, 0.5205)
F (0.1138, 0.3713, 0.9795)
F (0.2601, 0.7399, 0.7500)
F (0.3713, 0.1138, 0.0205)
F (0.3713, 0.1138, 0.4795)
F (0.4894, 0.5106, 0.7500)
F (0.5106, 0.4894, 0.2500)
F (0.6287, 0.8862, 0.5205)
F (0.6287, 0.8862, 0.9795)
F (0.7399, 0.2601, 0.2500)
F (0.8862, 0.6287, 0.0205)
F (0.8862, 0.6287, 0.4795)

Top 6 peaks for 10 to 80 degrees two-theta, low angle first:
2θ 16.92, intensity 777; 2θ 19.37, intensity 1000; 2θ 22.40, intensity 809; 2θ 23.22, intensity 919; 2θ 45.72, intensity 273; 2θ 45.98, intensity 624

=====

This entry pairs a crystal structure of MgMn4O8 with its simulated XRD peak list. Radiation: Cu Ka. Structure: the PBE+U geometry in the Materials Project.
Kinematic intensities with the Lorentz-polarization factor, no thermal factor.

Atomic structure:
a = 5.8982 Å, b = 5.8982 Å, c = 6.2464 Å
α = 118.44°, β = 118.44°, γ = 60.02°
Atoms (fractional coordinates):
Mg (0.0000, 0.0000, 0.0000)
Mn (0.0000, 0.5000, 0.0000)
Mn (0.5000, 0.0000, 0.0000)
Mn (0.5000, 0.5000, 0.0000)
Mn (0.5000, 0.5000, 0.5000)
O (0.2443, 0.2443, 0.1965)
O (0.2447, 0.7094, 0.1967)
O (0.2694, 0.2694, 0.8105)
O (0.2906, 0.7553, 0.8033)
O (0.7094, 0.2447, 0.1967)
O (0.7306, 0.7306, 0.1895)
O (0.7553, 0.2906, 0.8033)
O (0.7557, 0.7557, 0.8035)

Top 6 peaks for 10 to 80 degrees two-theta, low angle first:
2θ 17.00, intensity 1000; 2θ 18.27, intensity 682; 2θ 35.61, intensity 191; 2θ 42.19, intensity 668; 2θ 42.38, intensity 332; 2θ 63.04, intensity 263